Record 1
# Li2MgScGa2Au2
Simulated X-ray powder pattern, Cu Kα (weighted mean of Kα1 and Kα2). Input: a PBE-relaxed structure.

abc: 4.531 4.531 6.417
angles: 90.00 90.00 90.00
Space group P-4m2 (No. 115)
Asymmetric unit:
Li 0.000 0.500 0.235
Mg 0.500 0.500 0.000
Sc 0.000 0.000 0.500
Ga 0.000 0.000 0.000
Ga 0.500 0.500 0.500
Au 0.000 0.500 0.752

Principal peaks in the range 5° ≤ 2θ ≤ 70°, sorted by position:
h k l	d [Å]	2θ/deg	intensity
1 0 1	3.701	24.04	96
1 1 0	3.205	27.83	11
2 0 0	2.267	39.77	100
2 1 1	1.933	47.01	50
2 0 2	1.851	49.24	4
2 2 0	1.603	57.50	17
3 0 1	1.471	63.22	21
3 1 0	1.434	65.07	5

***

Record 2
# ZnCdSeO
Simulated X-ray powder pattern, Cu Kα (weighted mean of Kα1 and Kα2). Input: a PBE-relaxed structure.

abc: 3.786 13.268 5.805
angles: 90.00 90.00 90.00
Space group Cmc2_1 (No. 36)
Asymmetric unit:
Zn 0.000 0.058 0.000
Cd 0.000 0.338 0.915
Se 0.000 0.331 0.381
O 0.000 0.070 0.339

Principal peaks in the range 5° ≤ 2θ ≤ 70°, sorted by position:
h k l	d [Å]	2θ/deg	intensity
0 4 0	3.317	26.88	11
1 1 1	3.084	28.95	12
0 0 2	2.902	30.81	45
1 3 0	2.876	31.09	100
1 3 1	2.577	34.81	10
1 1 2	2.269	39.72	11
1 5 0	2.173	41.56	9
1 3 2	2.043	44.34	50
2 0 0	1.893	48.07	18
0 6 2	1.759	51.99	10
1 7 0	1.695	54.11	11
2 0 2	1.585	58.19	14

***

Record 3
# Er3Zr4
Simulated X-ray powder pattern, Cu Kα (weighted mean of Kα1 and Kα2). Input: a PBE-relaxed structure.

abc: 8.8694 8.8694 5.3260
angles: 90.00 90.00 120.00
Space group P6_3/m (No. 176)
Asymmetric unit:
Er 0.0940 0.4654 0.2500
Zr 0.0502 0.2275 0.7500
Zr 0.3333 0.6667 0.7500

Principal peaks in the range 5° ≤ 2θ ≤ 70°, sorted by position:
h k l	d [Å]	2θ/deg	intensity
1 0 1	4.377	20.29	4
2 0 0	3.841	23.16	2
1 1 1	3.408	26.15	7
2 1 0	2.903	30.80	26
0 0 2	2.663	33.65	26
2 1 1	2.549	35.21	100
2 1 2	1.962	46.26	17
1 4 0	1.676	54.77	18
2 1 3	1.515	61.19	20
4 2 0	1.452	64.16	3
1 4 2	1.419	65.84	20
4 2 1	1.401	66.80	14